No. 1
V12O29: computed powder diffraction line list (Cu Ka), based on a PBE+U-relaxed structure.
No peak broadening, texture or thermal motion is included.

Principal peaks in the range 10 to 80 degrees two-theta, by intensity:
- 12.74 deg, intensity 1000, (4 0 0)
- 25.79 deg, intensity 888, (1 1 -1)
- 28.91 deg, intensity 455, (8 0 1)
- 29.30 deg, intensity 394, (6 0 -3)
- 49.67 deg, intensity 320, (0 2 0)
- 32.36 deg, intensity 288, (5 1 -2)
- 41.84 deg, intensity 251, (12 0 1)
- 60.53 deg, intensity 171, (7 1 -6)
- 13.85 deg, intensity 158, (4 0 -1)
- 58.70 deg, intensity 157, (18 0 -2)

```
data_V12O29
_space_group_name_H-M_alt 'C 1 2/m 1'
_space_group_IT_number 12
_space_group_name_Hall '-C 2y'
_cell_length_a 28.451
_cell_length_b 3.671
_cell_length_c 10.327
_cell_angle_alpha 90.00
_cell_angle_beta 102.33
_cell_angle_gamma 90.00
loop_
_atom_site_label
_atom_site_fract_x
_atom_site_fract_y
_atom_site_fract_z
V1 0.062 0.000 0.086
V2 0.086 0.500 0.856
V3 0.108 0.500 0.532
V4 0.149 0.000 0.343
V5 0.178 0.000 0.027
V6 0.198 0.500 0.793
O1 0.000 0.000 0.000
O2 0.033 0.500 0.766
O3 0.051 0.500 0.497
O4 0.058 0.000 0.241
O5 0.071 0.500 0.039
O6 0.099 0.000 0.903
O7 0.123 0.500 0.721
O8 0.125 0.000 0.515
O9 0.131 0.500 0.365
O10 0.138 0.000 0.161
O11 0.167 0.500 0.975
O12 0.193 0.000 0.840
O13 0.202 0.500 0.639
O14 0.206 0.000 0.388
O15 0.236 0.000 0.122
```


No. 2
VO2: computed powder diffraction line list (Cu Ka), based on a PBE+U-relaxed structure.
No peak broadening, texture or thermal motion is included.

Principal peaks in the range 10 to 80 degrees two-theta, by intensity:
- 18.34 deg, intensity 1000, (1 0 1)
- 42.55 deg, intensity 351, (2 2 0)
- 35.16 deg, intensity 222, (1 2 1)
- 63.21 deg, intensity 162, (2 2 4)
- 44.44 deg, intensity 148, (0 0 4)
- 56.34 deg, intensity 103, (2 3 1)
- 61.74 deg, intensity 91, (4 0 0)
- 36.27 deg, intensity 90, (1 0 3)
- 79.19 deg, intensity 73, (4 0 4)
- 37.17 deg, intensity 61, (2 0 2)

```
data_VO2
_space_group_name_H-M_alt 'I 41/a'
_space_group_IT_number 88
_cell_length_a 6.010
_cell_length_b 6.010
_cell_length_c 8.155
_cell_angle_alpha 90.00
_cell_angle_beta 90.00
_cell_angle_gamma 90.00
loop_
_space_group_symop_operation_xyz
'x,y,z'
'-x,-y,-z'
'-y+3/4,x+1/4,z+1/4'
'y+3/4,-x+1/4,-z+1/4'
'-x+1/2,-y,z+1/2'
'x+1/2,y,-z+1/2'
'y+3/4,-x+3/4,z+3/4'
'-y+3/4,x+3/4,-z+3/4'
'x+1/2,y+1/2,z+1/2'
'-x+1/2,-y+1/2,-z+1/2'
'-y+1/4,x+3/4,z+3/4'
'y+1/4,-x+3/4,-z+3/4'
'-x,-y+1/2,z'
'x,y+1/2,-z'
'y+1/4,-x+1/4,z+1/4'
'-y+1/4,x+1/4,-z+1/4'
loop_
_atom_site_label
_atom_site_fract_x
_atom_site_fract_y
_atom_site_fract_z
V1 0.000 0.000 0.000
O1 0.001 0.029 0.232
```